(1)
Structure and theoretical PXRD pattern of GaSiRu2 (the PBE geometry in the Materials Project; Cu Kα (λ = 1.5418 Å)).
No peak broadening, texture or thermal motion is included.

Principal peaks in the range 10 to 90 degrees two-theta, in order of rising 2θ:
(1 1 1), 2θ 25.9, intensity 5.3; (2 0 0), 2θ 30.0, intensity 15.5; (2 2 0), 2θ 42.9, intensity 100.0; (3 1 1), 2θ 50.8, intensity 2.6; (2 2 2), 2θ 53.2, intensity 4.1; (4 0 0), 2θ 62.3, intensity 16.1; (3 3 1), 2θ 68.6, intensity 1.0; (4 2 0), 2θ 70.7, intensity 5.1; (4 2 2), 2θ 78.6, intensity 32.4; (5 1 1), 2θ 84.4, intensity 0.7

Structural model:
a b c (Å): 5.961 5.961 5.961
angles (deg): 90.00 90.00 90.00
Space group Fm-3m (No. 225)
Asymmetric unit:
Ga  0.000  0.000  0.000 x4
Si  0.000  0.000  0.500 x4
Ru  0.250  0.250  0.250 x8

***

(2)
Structure and theoretical PXRD pattern of Sm8Ga21Ru11 (the PBE geometry in the Materials Project; Cu Kα (λ = 1.5418 Å)).
No peak broadening, texture or thermal motion is included.

Principal peaks in the range 10 to 90 degrees two-theta, in order of rising 2θ:
(2 4 1), 2θ 29.3, intensity 73.0; (5 3 0), 2θ 32.3, intensity 59.8; (6 2 0), 2θ 35.1, intensity 45.1; (5 3 1), 2θ 36.1, intensity 74.3; (1 3 2), 2θ 36.3, intensity 50.9; (6 2 1), 2θ 38.7, intensity 24.4; (0 4 2), 2θ 38.8, intensity 100.0; (7 3 0), 2θ 42.6, intensity 34.9; (3 7 1), 2θ 45.7, intensity 25.3; (0 6 2), 2θ 46.5, intensity 35.8; (7 7 1), 2θ 58.9, intensity 29.2; (12 4 2), 2θ 82.9, intensity 25.6

Structural model:
a b c (Å): 16.148 16.169 5.664
angles (deg): 90.00 90.00 90.00
Space group C222 (No. 21)
Asymmetric unit:
Sm  0.094  0.170  0.251 x8
Sm  0.169  0.406  0.251 x8
Ga  0.000  0.316  0.000 x4
Ga  0.000  0.320  0.500 x4
Ga  0.000  0.500  0.000 x2
Ga  0.080  0.106  0.750 x8
Ga  0.108  0.419  0.742 x8
Ga  0.180  0.000  0.000 x4
Ga  0.180  0.000  0.500 x4
Ga  0.250  0.250  0.005 x4
Ga  0.250  0.250  0.494 x4
Ru  0.000  0.000  0.000 x2
Ru  0.000  0.000  0.500 x2
Ru  0.000  0.500  0.500 x2
Ru  0.117  0.261  0.751 x8
Ru  0.239  0.117  0.751 x8

***

(3)
Structure and theoretical PXRD pattern of Tm2Ga9Ru3 (the PBE geometry in the Materials Project; Cu Kα (λ = 1.5418 Å)).
No peak broadening, texture or thermal motion is included.

Principal peaks in the range 10 to 90 degrees two-theta, in order of rising 2θ:
(3 1 2), 2θ 30.2, intensity 18.1; (0 2 3), 2θ 36.6, intensity 46.8; (3 1 3), 2θ 36.7, intensity 100.0; (0 0 4), 2θ 37.1, intensity 28.7; (4 2 1), 2θ 37.8, intensity 17.7; (3 3 0), 2θ 41.6, intensity 78.8; (6 0 0), 2θ 41.9, intensity 38.0; (0 2 4), 2θ 44.5, intensity 15.3; (0 0 6), 2θ 56.9, intensity 35.6; (3 5 3), 2θ 72.7, intensity 16.5; (6 4 3), 2θ 72.8, intensity 17.8; (9 1 3), 2θ 73.2, intensity 16.9

Structural model:
a b c (Å): 12.931 7.529 9.703
angles (deg): 90.00 90.00 90.00
Space group Cmcm (No. 63)
Asymmetric unit:
Tm  0.164  0.167  0.250 x8
Ga  0.000  0.125  0.750 x4
Ga  0.000  0.337  0.061 x8
Ga  0.106  0.443  0.750 x8
Ga  0.165  0.170  0.577 x16
Ru  0.000  0.000  0.000 x4
Ru  0.175  0.500  0.000 x8

***

(4)
Structure and theoretical PXRD pattern of TmGa3Ru (the PBE geometry in the Materials Project; Cu Kα (λ = 1.5418 Å)).
No peak broadening, texture or thermal motion is included.

Principal peaks in the range 10 to 90 degrees two-theta, in order of rising 2θ:
(1 1 0), 2θ 19.6, intensity 9.2; (2 0 0), 2θ 27.9, intensity 9.2; (2 1 0), 2θ 31.3, intensity 14.2; (2 1 1), 2θ 34.4, intensity 8.4; (2 2 0), 2θ 39.9, intensity 100.0; (3 0 0), 2θ 42.4, intensity 6.2; (3 1 0), 2θ 44.8, intensity 6.4; (4 0 0), 2θ 57.7, intensity 13.9; (3 2 2), 2θ 59.6, intensity 6.5; (4 2 0), 2θ 65.3, intensity 8.5; (4 2 2), 2θ 72.4, intensity 24.9; (4 4 0), 2θ 86.0, intensity 7.1

Structural model:
a b c (Å): 6.394 6.394 6.394
angles (deg): 90.00 90.00 90.00
Space group Pm-3m (No. 221)
Asymmetric unit:
Tm  0.000  0.000  0.500 x3
Ga  0.000  0.000  0.000 x1
Ga  0.287  0.287  0.287 x8
Ru  0.000  0.500  0.500 x3

***

(5)
Structure and theoretical PXRD pattern of UGaRu (the PBE geometry in the Materials Project; Cu Kα (λ = 1.5418 Å)).
No peak broadening, texture or thermal motion is included.

Principal peaks in the range 10 to 90 degrees two-theta, in order of rising 2θ:
(0 0 1), 2θ 21.6, intensity 13.7; (1 1 0), 2θ 26.1, intensity 14.3; (2 0 0), 2θ 30.3, intensity 25.8; (1 1 1), 2θ 34.2, intensity 83.2; (2 0 1), 2θ 37.5, intensity 100.0; (2 1 0), 2θ 40.4, intensity 34.3; (0 0 2), 2θ 44.0, intensity 26.5; (3 1 0), 2θ 56.2, intensity 18.3; (3 1 1), 2θ 60.9, intensity 30.2; (2 1 2), 2θ 61.3, intensity 20.4; (3 2 1), 2θ 73.6, intensity 16.6; (3 1 2), 2θ 74.0, intensity 17.1

Structural model:
a b c (Å): 6.8175 6.8175 4.1140
angles (deg): 90.00 90.00 120.00
Space group P-62m (No. 189)
Asymmetric unit:
U  0.0000  0.4238  0.0000 x3
Ga  0.0000  0.7621  0.5000 x3
Ru  0.0000  0.0000  0.0000 x1
Ru  0.3333  0.6667  0.5000 x2

***

(6)
Structure and theoretical PXRD pattern of Y2Ga9Ru3 (the PBE geometry in the Materials Project; Cu Kα (λ = 1.5418 Å)).
No peak broadening, texture or thermal motion is included.

Principal peaks in the range 10 to 90 degrees two-theta, in order of rising 2θ:
(0 2 3), 2θ 36.4, intensity 47.9; (3 1 3), 2θ 36.6, intensity 100.0; (0 0 4), 2θ 36.8, intensity 29.4; (5 1 2), 2θ 41.3, intensity 19.0; (3 3 0), 2θ 41.5, intensity 90.8; (6 0 0), 2θ 41.9, intensity 43.4; (3 1 4), 2θ 44.3, intensity 25.5; (3 3 2), 2θ 45.6, intensity 30.4; (6 0 2), 2θ 46.0, intensity 19.6; (6 2 3), 2θ 56.7, intensity 24.1; (3 5 3), 2θ 72.3, intensity 17.9; (6 4 3), 2θ 72.5, intensity 17.8

Structural model:
a b c (Å): 12.936 7.566 9.765
angles (deg): 90.00 90.00 90.00
Space group Cmcm (No. 63)
Asymmetric unit:
Y  0.163  0.167  0.250 x8
Ga  0.000  0.127  0.750 x4
Ga  0.000  0.338  0.060 x8
Ga  0.106  0.443  0.750 x8
Ga  0.164  0.171  0.577 x16
Ru  0.000  0.000  0.000 x4
Ru  0.175  0.500  0.000 x8

***

(7)
Structure and theoretical PXRD pattern of Zr6Ga16Ru7 (the PBE geometry in the Materials Project; Cu Kα (λ = 1.5418 Å)).
No peak broadening, texture or thermal motion is included.

Principal peaks in the range 10 to 90 degrees two-theta, in order of rising 2θ:
(4 2 2), 2θ 35.4, intensity 12.3; (3 3 3), 2θ 37.6, intensity 30.6; (4 4 0), 2θ 41.1, intensity 100.0; (5 3 1), 2θ 43.0, intensity 7.8; (6 0 0), 2θ 43.7, intensity 7.1; (6 2 2), 2θ 48.6, intensity 7.3; (7 3 1), 2θ 56.9, intensity 10.2; (8 0 0), 2θ 59.5, intensity 10.3; (7 5 3), 2θ 68.8, intensity 6.6; (8 4 4), 2θ 74.8, intensity 16.2; (9 3 3), 2θ 76.2, intensity 7.9; (7 7 3), 2θ 79.8, intensity 8.0

Structural model:
a b c (Å): 12.436 12.436 12.436
angles (deg): 90.00 90.00 90.00
Space group Fm-3m (No. 225)
Asymmetric unit:
Zr  0.000  0.000  0.209 x24
Ga  0.122  0.122  0.378 x32
Ga  0.157  0.157  0.157 x32
Ru  0.000  0.000  0.500 x4
Ru  0.000  0.250  0.250 x24

***

(8)
Structure and theoretical PXRD pattern of Tb4GaSbS9 (the PBE geometry in the Materials Project; Cu Kα (λ = 1.5418 Å)).
No peak broadening, texture or thermal motion is included.

Principal peaks in the range 10 to 90 degrees two-theta, in order of rising 2θ:
(0 0 4), 2θ 25.2, intensity 60.8; (0 4 0), 2θ 25.6, intensity 30.3; (3 2 2), 2θ 26.7, intensity 100.0; (1 3 3), 2θ 27.8, intensity 31.7; (2 3 3), 2θ 30.1, intensity 24.8; (3 3 3), 2θ 33.5, intensity 49.2; (5 1 1), 2θ 34.2, intensity 28.1; (0 4 4), 2θ 36.2, intensity 42.7; (4 0 4), 2θ 36.7, intensity 24.7; (1 4 4), 2θ 36.8, intensity 25.1; (3 2 6), 2θ 45.3, intensity 23.4; (7 2 2), 2θ 50.5, intensity 51.2

Structural model:
a b c (Å): 13.583 13.918 14.145
angles (deg): 90.00 90.00 90.00
Space group Aea2 (No. 41)
Asymmetric unit:
Tb  0.101  0.171  0.000 x8
Tb  0.104  0.111  0.447 x8
Tb  0.182  0.166  0.717 x8
Tb  0.187  0.391  0.490 x8
Ga  0.092  0.395  0.227 x8
Sb  0.113  0.420  0.759 x8
S  0.000  0.000  0.008 x4
S  0.000  0.000  0.634 x4
S  0.010  0.196  0.821 x8
S  0.068  0.253  0.574 x8
S  0.081  0.095  0.250 x8
S  0.099  0.411  0.934 x8
S  0.191  0.301  0.131 x8
S  0.198  0.489  0.315 x8
S  0.246  0.234  0.384 x8
S  0.249  0.058  0.069 x8